# 1
Diffraction record for Ta4Tl2Se7. The powder diffractogram is computed, not measured: it uses a crystal structure in Alexandria, relaxed with GGA-PBE and Cu Kα.

Cell lengths 6.379, 6.383, 8.234 Å; angles 90.90, 91.15, 112.73 degrees
Atoms (fractional coordinates):
Ta 0.036 0.036 0.333
Ta 0.273 0.727 0.500
Ta 0.727 0.273 0.500
Ta 0.964 0.964 0.667
Tl 0.345 0.658 0.002
Tl 0.655 0.342 0.998
Se 0.000 0.000 0.000
Se 0.032 0.429 0.279
Se 0.312 0.312 0.586
Se 0.429 0.034 0.279
Se 0.571 0.966 0.721
Se 0.688 0.688 0.414
Se 0.968 0.571 0.721

Main lines, in order of rising 2θ (10° ≤ 2θ ≤ 90°):
10.8 deg, I = 39; 18.8 deg, I = 32; 25.2 deg, I = 45; 26.8 deg, I = 28; 28.2 deg, I = 100; 34.0 deg, I = 55; 35.5 deg, I = 75; 37.1 deg, I = 73; 38.1 deg, I = 25; 44.5 deg, I = 37; 46.3 deg, I = 44; 47.4 deg, I = 32

# 2
Diffraction record for Pr3AlIn3. The powder diffractogram is computed, not measured: it uses a crystal structure in Alexandria, relaxed with GGA-PBE and Cu Kα.

Cell lengths 6.344, 6.344, 15.522 Å; angles 107.63, 107.63, 43.45 degrees
Atoms (fractional coordinates):
Pr 0.022 0.022 0.382
Pr 0.105 0.105 0.923
Pr 0.238 0.238 0.228
Pr 0.762 0.762 0.772
Pr 0.895 0.895 0.077
Pr 0.978 0.978 0.618
Al 0.269 0.269 0.618
Al 0.731 0.731 0.382
In 0.355 0.355 0.458
In 0.386 0.386 0.924
In 0.480 0.480 0.768
In 0.520 0.520 0.232
In 0.614 0.614 0.076
In 0.645 0.645 0.542

Main lines, in order of rising 2θ (10° ≤ 2θ ≤ 90°):
25.2 deg, I = 20; 29.2 deg, I = 48; 29.7 deg, I = 58; 29.9 deg, I = 100; 30.4 deg, I = 46; 34.1 deg, I = 32; 36.0 deg, I = 63; 36.5 deg, I = 20; 36.7 deg, I = 20; 38.3 deg, I = 50; 49.7 deg, I = 23; 58.2 deg, I = 25

# 3
Diffraction record for U2CoOs. The powder diffractogram is computed, not measured: it uses a crystal structure in Alexandria, relaxed with GGA-PBE and Cu Kα.

Cell lengths 4.872, 4.872, 3.117 Å; angles 90.00, 90.00, 90.00 degrees
Atoms (fractional coordinates):
U 0.000 0.500 0.000
U 0.500 0.000 0.000
Co 0.000 0.000 0.500
Os 0.500 0.500 0.500

Main lines, in order of rising 2θ (10° ≤ 2θ ≤ 90°):
18.2 deg, I = 10; 25.9 deg, I = 12; 28.6 deg, I = 5; 36.9 deg, I = 58; 39.0 deg, I = 100; 47.4 deg, I = 5; 53.2 deg, I = 21; 59.3 deg, I = 7; 67.9 deg, I = 40; 71.9 deg, I = 17; 78.5 deg, I = 7; 83.7 deg, I = 12

# 4
Diffraction record for Ce3ReBr3. The powder diffractogram is computed, not measured: it uses a crystal structure in Alexandria, relaxed with GGA-PBE and Cu Kα.

Cell lengths 8.852, 4.150, 11.959 Å; angles 90.00, 93.30, 90.00 degrees
Atoms (fractional coordinates):
Ce 0.103 0.250 0.385
Ce 0.124 0.250 0.846
Ce 0.324 0.750 0.625
Ce 0.676 0.250 0.375
Ce 0.876 0.750 0.154
Ce 0.897 0.750 0.615
Re 0.114 0.250 0.623
Re 0.886 0.750 0.377
Br 0.126 0.250 0.117
Br 0.369 0.750 0.877
Br 0.391 0.750 0.371
Br 0.609 0.250 0.629
Br 0.631 0.250 0.123
Br 0.874 0.750 0.883

Main lines, in order of rising 2θ (10° ≤ 2θ ≤ 90°):
10.0 deg, I = 45; 12.1 deg, I = 23; 29.5 deg, I = 100; 29.9 deg, I = 48; 37.4 deg, I = 9; 40.8 deg, I = 16; 41.7 deg, I = 34; 43.4 deg, I = 32; 43.6 deg, I = 19; 49.9 deg, I = 13; 53.8 deg, I = 18; 61.3 deg, I = 10

# 5
Diffraction record for Na2Li2ReO6. The powder diffractogram is computed, not measured: it uses a crystal structure in Alexandria, relaxed with GGA-PBE and Cu Kα.

Cell lengths 5.163, 5.163, 5.423 Å; angles 90.00, 90.00, 120.00 degrees
Atoms (fractional coordinates):
Na 0.333 0.667 0.000
Na 0.667 0.333 0.000
Li 0.333 0.667 0.500
Li 0.667 0.333 0.500
Re 0.000 0.000 0.500
O 0.000 0.303 0.301
O 0.000 0.697 0.699
O 0.303 0.000 0.301
O 0.303 0.303 0.699
O 0.697 0.000 0.699
O 0.697 0.697 0.301

Main lines, in order of rising 2θ (10° ≤ 2θ ≤ 90°):
16.3 deg, I = 37; 19.9 deg, I = 60; 25.8 deg, I = 100; 34.8 deg, I = 21; 38.6 deg, I = 19; 38.8 deg, I = 17; 43.8 deg, I = 22; 48.7 deg, I = 33; 54.8 deg, I = 11; 57.1 deg, I = 21; 62.3 deg, I = 10; 65.0 deg, I = 9

# 6
Diffraction record for Pu4Te3. The powder diffractogram is computed, not measured: it uses a crystal structure in Alexandria, relaxed with GGA-PBE and Cu Kα.

Cell lengths 8.075, 8.075, 8.075 Å; angles 109.47, 109.47, 109.47 degrees
Atoms (fractional coordinates):
Pu 0.000 0.156 0.500
Pu 0.000 0.656 0.500
Pu 0.156 0.500 0.000
Pu 0.344 0.344 0.344
Pu 0.500 0.000 0.156
Pu 0.500 0.000 0.656
Pu 0.656 0.500 0.000
Pu 0.844 0.844 0.844
Te 0.125 0.875 0.250
Te 0.250 0.125 0.875
Te 0.375 0.625 0.750
Te 0.625 0.750 0.375
Te 0.750 0.375 0.625
Te 0.875 0.250 0.125

Main lines, in order of rising 2θ (10° ≤ 2θ ≤ 90°):
23.4 deg, I = 20; 30.3 deg, I = 100; 36.0 deg, I = 85; 47.8 deg, I = 28; 49.9 deg, I = 27; 61.3 deg, I = 28; 63.1 deg, I = 14; 64.8 deg, I = 18; 68.2 deg, I = 8; 71.6 deg, I = 8; 74.8 deg, I = 11; 89.1 deg, I = 9